(1)
Pm2Mg3Cd: computed XRD peak list (Cu Ka), based on a structure optimized by DFT (PBE).
Neutral-atom scattering factors, no anomalous dispersion.

Main lines, by angle (2θ from 15° to 90°):
2theta  Rel. int.  hkl
19.6  47  0 2 2
21.6  10  1 1 3
33.3  100  2 0 4
34.3  72  0 4 0
48.6  34  2 4 4
60.8  23  2 6 2
60.9  12  2 2 10
61.4  9  0 6 6
66.3  20  4 4 0
81.9  10  2 6 10

Atomic structure:
Lattice parameters (Å, degrees): 6.6966 10.4651 18.0773 90.00 90.00 90.00
Space group Fmmm (No. 69)
Inequivalent atoms, fractional coordinates:
Pm (0.2488, 0.0000, 0.0000)
Pm (0.2500, 0.2500, 0.2500)
Mg (0.0000, 0.0000, 0.3326)
Mg (0.0000, 0.2477, 0.0837)
Cd (0.0000, 0.0000, 0.1665)

(2)
PmMg6Cd2: computed XRD peak list (Cu Ka), based on a structure optimized by DFT (PBE).
Neutral-atom scattering factors, no anomalous dispersion.

Main lines, by angle (2θ from 15° to 90°):
2theta  Rel. int.  hkl
25.8  39  1 0 2
28.2  73  1 1 0
29.4  100  1 1 1
31.8  100  1 0 3
32.7  76  1 1 2
38.7  84  1 0 4
40.3  74  2 0 0
46.4  32  1 0 5
52.2  48  2 1 3
57.1  52  2 1 4

Atomic structure:
Lattice parameters (Å, degrees): 4.4748 4.4748 10.8804 90.00 90.00 90.00
Space group P4/mmm (No. 123)
Inequivalent atoms, fractional coordinates:
Pm (0.0000, 0.0000, 0.0000)
Mg (0.0000, 0.0000, 0.5000)
Mg (0.0000, 0.5000, 0.2916)
Mg (0.5000, 0.5000, 0.5000)
Cd (0.5000, 0.5000, 0.1262)

(3)
Pm3Mg2Cd4: computed XRD peak list (Cu Ka), based on a structure optimized by DFT (PBE).
Neutral-atom scattering factors, no anomalous dispersion.

Main lines, by angle (2θ from 15° to 90°):
2theta  Rel. int.  hkl
20.0  12  2 0 -2
33.3  100  1 1 2
35.0  81  0 2 0
49.1  33  2 0 -5
61.7  33  2 2 -5
62.8  14  3 3 -3
66.1  8  7 1 -1
66.1  16  4 2 2
74.0  9  0 4 0
83.6  14  5 1 -8

Atomic structure:
Lattice parameters (Å, degrees): 11.1760 5.1231 9.5019 90.00 121.76 90.00
Space group C2/m (No. 12)
Inequivalent atoms, fractional coordinates:
Pm (0.0000, 0.0000, 0.0000)
Pm (0.1655, 0.5000, 0.6682)
Mg (0.1139, 0.5000, 0.2815)
Cd (0.0557, 0.0000, 0.3875)
Cd (0.2239, 0.5000, 0.0598)

(4)
Pm3Mg6Cd2: computed XRD peak list (Cu Ka), based on a structure optimized by DFT (PBE).
Neutral-atom scattering factors, no anomalous dispersion.

Main lines, by angle (2θ from 15° to 90°):
2theta  Rel. int.  hkl
15.5  74  0 0 6
24.7  67  1 0 5
29.8  66  1 1 0
33.7  100  1 1 6
35.8  79  1 0 11
42.6  44  2 0 0
45.6  20  2 0 6
49.8  20  2 1 5
56.8  40  2 1 11
72.3  28  3 1 6

Atomic structure:
Lattice parameters (Å, degrees): 4.2452 4.2452 34.2689 90.00 90.00 90.00
Space group I4/mmm (No. 139)
Inequivalent atoms, fractional coordinates:
Pm (0.0000, 0.0000, 0.0000)
Pm (0.0000, 0.0000, 0.1692)
Mg (0.0000, 0.0000, 0.2717)
Mg (0.0000, 0.5000, 0.0796)
Cd (0.0000, 0.0000, 0.3595)

(5)
PmMgCd17: computed XRD peak list (Cu Ka), based on a structure optimized by DFT (PBE).
Neutral-atom scattering factors, no anomalous dispersion.

Main lines, by angle (2θ from 15° to 90°):
2theta  Rel. int.  hkl
30.9  33  3 0 0
31.2  17  0 2 4
35.2  22  0 0 6
35.7  100  0 3 3
35.9  44  2 0 5
39.7  13  1 1 6
40.1  28  2 2 3
55.0  17  3 3 0
63.5  14  0 3 9
64.4  13  6 0 0

Atomic structure:
Lattice parameters (Å, degrees): 10.0213 10.0213 15.2851 90.00 90.00 120.00
Space group R3m (No. 160, hexagonal axes)
Inequivalent atoms, fractional coordinates:
Pm (0.0000, 0.0000, 0.0000)
Mg (0.0000, 0.0000, 0.3528)
Cd (0.0000, 0.0000, 0.5601)
Cd (0.0000, 0.0000, 0.7505)
Cd (0.0312, 0.3621, 0.3334)
Cd (0.1813, 0.3626, 0.1396)
Cd (0.1900, 0.3801, 0.5095)
Cd (0.2131, 0.4263, 0.8555)

(6)
Pm2MgCd2: computed XRD peak list (Cu Ka), based on a structure optimized by DFT (PBE).
Neutral-atom scattering factors, no anomalous dispersion.

Main lines, by angle (2θ from 15° to 90°):
2theta  Rel. int.  hkl
20.2  20  1 1 0
22.2  27  2 0 0
32.2  18  0 0 2
33.2  100  1 1 -2
33.9  42  0 2 0
34.1  83  3 1 -1
47.5  24  3 1 1
48.2  23  2 2 1
60.4  23  4 2 -3
60.8  15  3 3 -1

Atomic structure:
Lattice parameters (Å, degrees): 9.1074 5.2844 6.3360 90.00 118.56 90.00
Space group C2/m (No. 12)
Inequivalent atoms, fractional coordinates:
Pm (0.2217, 0.0000, 0.1630)
Mg (0.0000, 0.0000, 0.5000)
Cd (0.0914, 0.5000, 0.2701)

(7)
PmMg3Cd9: computed XRD peak list (Cu Ka), based on a structure optimized by DFT (PBE).
Neutral-atom scattering factors, no anomalous dispersion.

Main lines, by angle (2θ from 15° to 90°):
2theta  Rel. int.  hkl
29.7  56  2 0 -1
30.9  70  1 3 1
34.9  50  2 2 -2
36.0  100  1 5 -1
36.1  46  1 1 -3
36.3  50  0 4 2
39.5  39  2 0 1
40.5  29  1 5 -2
56.9  30  3 5 -1
64.5  27  2 6 -4

Atomic structure:
Lattice parameters (Å, degrees): 6.0096 14.0106 7.5933 90.00 113.19 90.00
Space group C2/m (No. 12)
Inequivalent atoms, fractional coordinates:
Pm (0.0000, 0.0000, 0.0000)
Mg (0.0000, 0.0000, 0.5000)
Mg (0.2500, 0.2500, 0.0000)
Cd (0.0000, 0.5000, 0.5000)
Cd (0.1129, 0.3922, 0.2137)
Cd (0.1692, 0.1747, 0.3457)

(8)
PmMg4Cd: computed XRD peak list (Cu Ka), based on a structure optimized by DFT (PBE).
Neutral-atom scattering factors, no anomalous dispersion.

Main lines, by angle (2θ from 15° to 90°):
2theta  Rel. int.  hkl
19.7  86  0 1 0
21.1  82  2 0 0
24.9  50  1 0 2
29.0  98  2 1 0
31.2  59  2 1 1
31.9  100  1 1 2
35.7  46  1 0 3
37.0  60  2 1 2
40.1  43  0 2 0
47.7  41  4 1 0

Atomic structure:
Lattice parameters (Å, degrees): 8.4319 4.5009 7.9151 90.00 90.00 90.00
Space group Pmma (No. 51)
Inequivalent atoms, fractional coordinates:
Pm (0.2500, 0.0000, 0.1294)
Mg (0.0000, 0.0000, 0.5000)
Mg (0.0501, 0.5000, 0.8138)
Mg (0.2500, 0.5000, 0.4463)
Cd (0.2500, 0.0000, 0.7290)